# Rb5NbCl2O4
Calculated X-ray diffraction stick pattern, Cu Kα X-rays. Input: the GGA-PBE geometry in Alexandria.
No peak broadening, texture or thermal motion is included.

Largest 12 diffraction maxima, in order of rising 2θ, 5° ≤ 2θ ≤ 70°:
d (Å)	2θ/deg	I_rel
3.522	25.29	85
3.480	25.60	32
3.417	26.08	35
3.237	27.56	19
3.201	27.87	100
2.732	32.79	14
2.590	34.63	16
2.438	36.87	55
2.165	41.72	16
1.951	46.56	15
1.870	48.68	25
1.816	50.25	15

Atomic structure:
```
data_Rb5NbCl2O4
_chemical_formula_sum 'Rb10 Nb2 Cl4 O8'
_cell_length_a 8.818
_cell_length_b 10.814
_cell_length_c 6.959
_cell_angle_alpha 90.00
_cell_angle_beta 90.00
_cell_angle_gamma 90.00
_symmetry_space_group_name_H-M 'A m m 2'
_symmetry_Int_Tables_number 38
loop_
_symmetry_equiv_pos_as_xyz
'x,y,z'
'-x,-y,z'
'-x,y,z'
'x,-y,z'
'x,y+1/2,z+1/2'
'-x,-y+1/2,z+1/2'
'-x,y+1/2,z+1/2'
'x,-y+1/2,z+1/2'
loop_
_atom_site_label
_atom_site_fract_x
_atom_site_fract_y
_atom_site_fract_z
_atom_site_occupancy
Rb1 0.000 0.000 0.000 1
Rb2 0.292 0.180 0.402 1
Nb1 0.500 0.000 0.917 1
Cl1 0.000 0.203 0.668 1
O1 0.328 0.000 0.081 1
O2 0.500 0.142 0.759 1
```

# Nb2Te4Cl10O
Calculated X-ray diffraction stick pattern, Cu Kα X-rays. Input: the GGA-PBE geometry in Alexandria.
No peak broadening, texture or thermal motion is included.

Largest 12 diffraction maxima, in order of rising 2θ, 5° ≤ 2θ ≤ 70°:
d (Å)	2θ/deg	I_rel
10.480	8.44	49
6.635	13.34	100
6.098	14.53	33
5.854	15.14	18
4.665	19.02	41
4.571	19.42	26
4.253	20.89	66
3.104	28.76	15
2.971	30.07	27
2.720	32.93	21
2.522	35.60	18
2.418	37.19	16

Atomic structure:
```
data_Nb2Te4Cl10O
_chemical_formula_sum 'Nb2 Te4 Cl10 O1'
_cell_length_a 7.562
_cell_length_b 7.761
_cell_length_c 10.629
_cell_angle_alpha 80.45
_cell_angle_beta 87.42
_cell_angle_gamma 79.04
_symmetry_space_group_name_H-M 'P -1'
_symmetry_Int_Tables_number 2
loop_
_symmetry_equiv_pos_as_xyz
'x,y,z'
'-x,-y,-z'
loop_
_atom_site_label
_atom_site_fract_x
_atom_site_fract_y
_atom_site_fract_z
_atom_site_occupancy
Nb1 0.125 0.003 0.339 1
Te1 0.294 0.399 0.977 1
Te2 0.408 0.705 0.874 1
Cl1 0.059 0.698 0.740 1
Cl2 0.097 0.114 0.752 1
Cl3 0.286 0.024 0.126 1
Cl4 0.304 0.725 0.399 1
Cl5 0.329 0.164 0.405 1
O1 0.000 0.000 0.500 1
```